[1]
Starting from a cell relaxed with GGA-PBE, the powder X-ray diffraction pattern of Y3HoAl was simulated for Cu Kα.

The 10 most intense peaks (2θ = 5–70°), sorted by position:
- (1 1 0), d = 3.425 Å, 2θ 26.02, I 51.6
- (0 2 2), d = 3.165 Å, 2θ 28.20, I 100.0
- (1 2 1), d = 2.788 Å, 2θ 32.11, I 94.6
- (0 4 0), d = 2.600 Å, 2θ 34.50, I 96.3
- (0 1 3), d = 2.576 Å, 2θ 34.83, I 26.3
- (1 0 3), d = 2.144 Å, 2θ 42.15, I 34.5
- (1 3 2), d = 2.122 Å, 2θ 42.60, I 30.1
- (1 4 3), d = 1.655 Å, 2θ 55.54, I 30.3
- (2 2 2), d = 1.573 Å, 2θ 58.67, I 24.6
- (1 2 5), d = 1.406 Å, 2θ 66.52, I 27.2

Structural model:
Lattice parameters (Å, degrees): 3.6270 10.4052 7.9749 90.00 90.00 90.00
Space group Pmmn (No. 59, origin choice 2)
Inequivalent atoms, fractional coordinates:
Y 0.2500 0.0039 0.2396 x4
Y 0.2500 0.2500 0.5486 x2
Ho 0.2500 0.2500 0.9465 x2
Al 0.2500 0.7500 0.7532 x2

=====

[2]
Starting from a cell relaxed with GGA-PBE, the powder X-ray diffraction pattern of Y2HoAl9 was simulated for Cu Kα.

The 10 most intense peaks (2θ = 5–70°), sorted by position:
- (0 0 1), d = 12.772 Å, 2θ 6.92, I 15.8
- (1 0 0), d = 4.257 Å, 2θ 20.87, I 62.3
- (1 1 0), d = 3.010 Å, 2θ 29.68, I 52.4
- (1 1 3), d = 2.458 Å, 2θ 36.56, I 100.0
- (2 0 0), d = 2.128 Å, 2θ 42.47, I 48.8
- (2 1 0), d = 1.904 Å, 2θ 47.78, I 28.1
- (2 1 3), d = 1.738 Å, 2θ 52.67, I 21.0
- (2 2 0), d = 1.505 Å, 2θ 61.62, I 31.9
- (3 0 0), d = 1.419 Å, 2θ 65.82, I 13.2
- (3 1 0), d = 1.346 Å, 2θ 69.88, I 8.8

Structural model:
Lattice parameters (Å, degrees): 4.2567 4.2567 12.7719 90.00 90.00 90.00
Space group P4/mmm (No. 123)
Inequivalent atoms, fractional coordinates:
Y 0.0000 0.0000 0.1671 x2
Ho 0.0000 0.0000 0.5000 x1
Al 0.0000 0.5000 0.0000 x2
Al 0.0000 0.5000 0.3343 x4
Al 0.5000 0.5000 0.1668 x2
Al 0.5000 0.5000 0.5000 x1